[1]
Diffraction record for KHoO2. The powder X-ray diffraction pattern is theoretical, not measured: it uses a DFT-relaxed cell (PBE, the Materials Project) and CuKα.
No peak broadening, texture or thermal motion is included.

Most intense lines, 5° ≤ 2θ ≤ 70°, most intense first:
Position (°2θ), intensity, h k l
14.16, 1000, 0 0 3
35.54, 966, 1 0 4
31.33, 735, 0 1 2
30.19, 376, 1 0 1
28.54, 349, 0 0 6
49.33, 327, 0 1 8

Atomic structure:
Cell lengths 3.4612, 3.4612, 18.7636 Å; angles 90.00, 90.00, 120.00 degrees
Space group R-3m (No. 166, hexagonal axes)
One atom of each set of equivalent atoms:
K (0.0000, 0.0000, 0.0000)
Ho (0.0000, 0.0000, 0.5000)
O (0.0000, 0.0000, 0.2281)

***

[2]
Diffraction record for CsNp3. The powder X-ray diffraction pattern is theoretical, not measured: it uses a DFT-relaxed cell (PBE, the Materials Project) and CuKα.
No peak broadening, texture or thermal motion is included.

Most intense lines, 5° ≤ 2θ ≤ 70°, most intense first:
Position (°2θ), intensity, h k l
36.36, 1000, 2 2 0
65.42, 374, 4 2 2
52.37, 180, 4 0 0
22.03, 34, 1 1 1
42.92, 20, 3 1 1
25.49, 18, 2 0 0

Atomic structure:
Cell lengths 6.9885, 6.9885, 6.9885 Å; angles 90.00, 90.00, 90.00 degrees
Space group Fm-3m (No. 225)
One atom of each set of equivalent atoms:
Cs (0.0000, 0.0000, 0.0000)
Np (0.0000, 0.0000, 0.5000)
Np (0.2500, 0.2500, 0.2500)

***

[3]
Diffraction record for KBi2F7. The powder X-ray diffraction pattern is theoretical, not measured: it uses a DFT-relaxed cell (PBE, the Materials Project) and CuKα.
No peak broadening, texture or thermal motion is included.

Most intense lines, 5° ≤ 2θ ≤ 70°, most intense first:
Position (°2θ), intensity, h k l
8.21, 1000, 0 0 1
24.81, 679, 0 0 3
23.06, 624, 0 1 0
16.47, 603, 0 0 2
26.26, 540, 1 1 1
26.78, 475, 1 0 -1

Atomic structure:
Cell lengths 3.9838, 4.3270, 10.7767 Å; angles 88.65, 87.25, 63.04 degrees
Space group P1 (No. 1)
One atom of each set of equivalent atoms:
K (0.0000, 0.0000, 0.0000)
Bi (0.2216, 0.4426, 0.3068)
Bi (0.6459, 0.5399, 0.6677)
F (0.0002, 0.9548, 0.6918)
F (0.3185, 0.3439, 0.1069)
F (0.3250, 0.3076, 0.5860)
F (0.4022, 0.4085, 0.8441)
F (0.6558, 0.6654, 0.2198)
F (0.6712, 0.6237, 0.4615)
F (0.9643, 0.0291, 0.3144)

***

[4]
Diffraction record for MgTiCu3O4. The powder X-ray diffraction pattern is theoretical, not measured: it uses a DFT-relaxed cell (PBE, the Materials Project) and CuKα.
No peak broadening, texture or thermal motion is included.

Most intense lines, 5° ≤ 2θ ≤ 70°, most intense first:
Position (°2θ), intensity, h k l
40.37, 1000, 1 1 -2
32.78, 949, 1 1 -1
38.87, 616, 3 1 0
16.17, 613, 2 0 0
25.65, 575, 2 0 1
35.64, 500, 1 1 1

Atomic structure:
Cell lengths 11.9651, 2.9959, 6.7632 Å; angles 90.00, 113.63, 90.00 degrees
Space group Cm (No. 8)
One atom of each set of equivalent atoms:
Mg (0.0000, 0.0000, 0.0000)
Ti (0.0312, 0.0000, 0.4222)
Cu (0.2389, 0.5000, 0.2153)
Cu (0.2641, 0.5000, 0.8526)
Cu (0.3520, 0.0000, 0.6223)
O (0.0820, 0.5000, 0.2214)
O (0.1951, 0.0000, 0.6249)
O (0.3787, 0.5000, 0.1576)
O (0.4900, 0.0000, 0.5600)

***

[5]
Diffraction record for Nd3Ni3Bi4. The powder X-ray diffraction pattern is theoretical, not measured: it uses a DFT-relaxed cell (PBE, the Materials Project) and CuKα.
No peak broadening, texture or thermal motion is included.

Most intense lines, 5° ≤ 2θ ≤ 70°, most intense first:
Position (°2θ), intensity, h k l
34.08, 1000, 3 2 1
28.68, 692, 3 1 0
47.07, 251, 4 3 1
45.12, 241, 4 2 2
57.73, 197, 6 1 1
41.00, 189, 4 2 0

Atomic structure:
Cell lengths 9.8443, 9.8443, 9.8443 Å; angles 90.00, 90.00, 90.00 degrees
Space group I-43d (No. 220)
One atom of each set of equivalent atoms:
Nd (0.0000, 0.2500, 0.8750)
Ni (0.0000, 0.2500, 0.3750)
Bi (0.0770, 0.4230, 0.5770)